Simulated PXRD pattern of Li2VP5O15 for Cu Kα, from DFT lattice parameters and positions (GGA+U).
Peak positions follow from Bragg's law for the DFT cell and can differ from measured ones.

Top 8 peaks for 2θ = 10–80°, in order of falling intensity:
19.94 deg, d 4.452, rel. 100, (1 1 0)
11.56 deg, d 7.653, rel. 68, (0 1 1)
18.42 deg, d 4.817, rel. 59, (0 2 0)
23.05 deg, d 3.858, rel. 44, (1 1 1)
28.14 deg, d 3.171, rel. 39, (1 0 -4)
33.11 deg, d 2.705, rel. 35, (1 3 0)
29.85 deg, d 2.994, rel. 32, (0 1 4)
33.85 deg, d 2.648, rel. 20, (1 2 -4)

Structural model:
Cell: 5.308 9.634 13.319 Å, 90.00 108.93 90.00°
Space group Pc (No. 7)
Unique sites:
Li (0.000, 0.097, 0.000)
Li (0.879, 0.102, 0.635)
V (0.953, 0.495, 0.576)
P (0.359, 0.316, 0.487)
P (0.417, 0.020, 0.428)
P (0.460, 0.024, 0.209)
P (0.545, 0.324, 0.163)
P (0.959, 0.486, 0.326)
O (0.182, 0.007, 0.134)
O (0.216, 0.384, 0.371)
O (0.218, 0.093, 0.912)
O (0.220, 0.358, 0.565)
O (0.255, 0.361, 0.136)
O (0.291, 0.157, 0.465)
O (0.438, 0.080, 0.319)
O (0.589, 0.163, 0.175)
O (0.655, 0.343, 0.520)
O (0.658, 0.090, 0.722)
O (0.681, 0.369, 0.084)
O (0.695, 0.002, 0.502)
O (0.709, 0.379, 0.281)
O (0.919, 0.440, 0.919)
O (0.994, 0.435, 0.735)

Simulated PXRD pattern of LiVP4O12 for Cu Kα, from DFT lattice parameters and positions (GGA+U).
Peak positions follow from Bragg's law for the DFT cell and can differ from measured ones.

Top 8 peaks for 2θ = 10–80°, in order of falling intensity:
27.32 deg, d 3.265, rel. 100, (1 2 1)
28.37 deg, d 3.145, rel. 54, (1 1 -2)
29.25 deg, d 3.053, rel. 52, (2 1 -1)
20.29 deg, d 4.377, rel. 52, (0 2 0)
16.21 deg, d 5.467, rel. 52, (1 1 0)
26.45 deg, d 3.370, rel. 42, (1 0 -2)
23.63 deg, d 3.765, rel. 39, (0 2 1)
26.20 deg, d 3.402, rel. 38, (0 1 2)

Structural model:
Cell: 7.018 8.754 7.404 Å, 90.00 94.26 90.00°
Space group P2_1 (No. 4)
Unique sites:
Li (0.153, 0.000, 0.332)
V (0.272, 0.564, 0.772)
P (0.071, 0.012, 0.925)
P (0.109, 0.369, 0.406)
P (0.418, 0.210, 0.907)
P (0.485, 0.508, 0.415)
O (0.022, 0.506, 0.281)
O (0.032, 0.216, 0.349)
O (0.093, 0.550, 0.961)
O (0.094, 0.420, 0.601)
O (0.192, 0.881, 0.985)
O (0.195, 0.167, 0.907)
O (0.323, 0.946, 0.533)
O (0.333, 0.372, 0.365)
O (0.393, 0.612, 0.548)
O (0.422, 0.370, 0.834)
O (0.480, 0.597, 0.226)
O (0.485, 0.681, 0.908)